Diffraction record for ZrTiPb2O6. The X-ray powder pattern is computed, not measured: it uses DFT lattice parameters and positions (PBE) and Cu Ka.

Atomic structure:
Lattice parameters (Å, degrees): 5.7936 5.7936 14.4416 90.00 90.00 120.00
Space group R3m (No. 160, hexagonal axes)
Symmetry-distinct sites (fractional):
Zr 0.0000 0.0000 0.0000
Ti 0.0000 0.0000 0.4997
Pb 0.0000 0.0000 0.2318
Pb 0.0000 0.0000 0.7290
O 0.0202 0.5101 0.2643
O 0.1672 0.3343 0.1031

Largest 8 diffraction maxima, in order of rising 2θ, 2θ = 10–90°:
(hkl)	2theta	I_rel
0 1 2	21.6	52
1 0 4	30.5	100
1 1 0	30.9	99
2 0 2	38.0	28
0 2 4	43.9	52
1 1 6	49.2	22
2 1 4	54.7	41
3 0 0	54.9	20